(1)
The following is a simulated powder diffractogram of RbCu4Se5. It was derived from a structure optimized by DFT (PBE), using Cu Kα, 1.54184 Å.
Intensities are scaled so that the largest is 100.

Top 6 peaks for 2θ = 15–90°, in order of rising 2θ:
| d/Å | I_rel |
| --- | --- |
| 3.066 | 47 |
| 3.035 | 43 |
| 2.955 | 100 |
| 2.771 | 43 |
| 2.021 | 73 |
| 1.796 | 71 |

a = 7.5025 Å, b = 11.0840 Å, c = 5.3226 Å
α = 90.00°, β = 90.00°, γ = 90.00°
Fractional coordinates of all 20 atoms:
Rb 0.2500 0.2500 0.1726
Rb 0.7500 0.7500 0.8274
Cu 0.0728 0.7500 0.3844
Cu 0.2500 0.5451 0.9515
Cu 0.2500 0.9549 0.9515
Cu 0.4272 0.7500 0.3844
Cu 0.5728 0.2500 0.6156
Cu 0.7500 0.0451 0.0485
Cu 0.7500 0.4549 0.0485
Cu 0.9272 0.2500 0.6156
Se 0.0035 0.5501 0.2764
Se 0.0035 0.9499 0.2764
Se 0.2500 0.7500 0.7651
Se 0.4965 0.5501 0.2764
Se 0.4965 0.9499 0.2764
Se 0.5035 0.0501 0.7236
Se 0.5035 0.4499 0.7236
Se 0.7500 0.2500 0.2349
Se 0.9965 0.0501 0.7236
Se 0.9965 0.4499 0.7236

(2)
The following is a simulated powder diffractogram of Pm2Pr3Tm3. It was derived from a structure optimized by DFT (PBE), using Cu Kα, 1.54184 Å.
Intensities are scaled so that the largest is 100.

Top 6 peaks for 2θ = 15–90°, in order of rising 2θ:
| d/Å | I_rel |
| --- | --- |
| 2.950 | 100 |
| 2.563 | 34 |
| 2.538 | 17 |
| 1.803 | 24 |
| 1.545 | 15 |
| 1.543 | 14 |

a = 10.8563 Å, b = 10.8563 Å, c = 10.8563 Å
α = 152.97°, β = 152.66°, γ = 38.83°
Fractional coordinates of all 8 atoms:
Pm 0.2492 0.2492 0.0000
Pm 0.7508 0.7508 0.0000
Pr 0.0000 0.0000 0.0000
Pr 0.3767 0.8767 0.5000
Pr 0.6233 0.1233 0.5000
Tm 0.1248 0.6248 0.5000
Tm 0.5000 0.5000 0.0000
Tm 0.8752 0.3752 0.5000

(3)
The following is a simulated powder diffractogram of Ac3BiP2. It was derived from a structure optimized by DFT (PBE), using Cu Kα, 1.54184 Å.
Intensities are scaled so that the largest is 100.

Top 6 peaks for 2θ = 15–90°, in order of rising 2θ:
| d/Å | I_rel |
| --- | --- |
| 3.595 | 69 |
| 3.400 | 100 |
| 3.284 | 49 |
| 2.992 | 34 |
| 2.514 | 34 |
| 1.863 | 41 |

a = 8.0428 Å, b = 8.0428 Å, c = 10.9122 Å
α = 90.00°, β = 90.00°, γ = 143.57°
Fractional coordinates of all 12 atoms:
Ac 0.0916 0.9084 0.7500
Ac 0.3808 0.6192 0.5582
Ac 0.3808 0.6192 0.9418
Ac 0.6192 0.3808 0.0582
Ac 0.6192 0.3808 0.4418
Ac 0.9084 0.0916 0.2500
Bi 0.2336 0.7664 0.2500
Bi 0.7664 0.2336 0.7500
P 0.0000 0.0000 0.0000
P 0.0000 0.0000 0.5000
P 0.4938 0.5062 0.2500
P 0.5062 0.4938 0.7500